Calculated powder XRD pattern
Compound: Li4MnF8
Radiation: Cu Kα (weighted mean of Kα1 and Kα2)
Structure: a DFT-relaxed cell (GGA+U, Alexandria)
Peak positions follow from Bragg's law for the DFT cell and can differ from measured ones.

Atomic structure:
```
13
Lattice="5.1208 0.0000 0.0000 0.0000 6.0691 0.0000 -1.8662 0.0000 4.8533" Properties=species:S:1:pos:R:3 pbc="T T T"
Li 0.0000 0.0000 0.0000
Li -0.9331 1.2088 2.4266
Li -0.9331 4.5653 2.4266
Li 2.5604 4.8955 0.0000
Mn 0.0000 2.9536 0.0000
F -0.3981 3.0213 3.7334
F -0.3709 5.8913 3.6697
F 0.6622 1.6280 1.0840
F 0.7849 4.2952 1.0320
F 2.4697 4.2952 3.8213
F 2.5925 1.6280 3.7693
F 3.6528 3.0213 1.1199
F 3.6255 5.8913 1.1836
```

Principal peaks in the range 5 to 70 degrees two-theta, by intensity:
d/Å  Rel. int.
4.780  100
2.105  84
6.069  62
4.853  58
3.483  42
2.127  41